For LiMn2MoO6, the PBE+U geometry in Alexandria gives the simulated XRD peak list in this record (a wavelength of 1.5418 Å).
No peak broadening, texture or thermal motion is included.

The 12 most intense peaks (5 to 70 degrees two-theta), in order of falling intensity:
2θ (°)	I (rel.)	h k l
20.81	100	1 -1 0
18.40	99	0 0 1
31.68	54	-1 1 1
20.64	54	1 0 0
52.05	51	-2 1 2
31.56	47	1 0 1
34.33	46	1 1 -1
32.16	46	0 1 -2
34.74	45	1 -2 1
34.95	40	2 -1 0
23.68	36	1 -1 1
38.80	32	1 1 0

Crystal structure
```
LiMn2MoO6
1.0
5.1348 0.0000 0.0000
-2.5069 4.5178 0.0000
-0.0440 -2.8717 4.8206
Li Mn Mo O
1 2 1 6
Direct
0.0000 0.0000 0.0000
0.2030 0.4405 0.6405
0.7092 0.4600 0.1758
0.5116 0.0512 0.5720
0.1250 0.5896 0.3918
0.3252 0.2763 0.8454
0.3940 0.2378 0.3725
0.5589 0.9073 0.8432
0.7993 0.9736 0.3910
0.9198 0.5226 0.8438
```